Entry 1:
This entry pairs a crystal structure of Lu2ScFe with its calculated X-ray powder pattern. Radiation: Cu Ka. Structure: a DFT-relaxed cell (GGA-PBE, Alexandria).
Neutral-atom scattering factors, no anomalous dispersion.

Structure:
abc: 3.284 3.284 8.303
angles: 90.00 90.00 90.00
Atoms (fractional coordinates):
Lu  0.000  0.000  0.189
Lu  0.000  0.000  0.811
Sc  0.500  0.500  0.500
Fe  0.500  0.500  0.000

Largest 10 diffraction maxima, low angle first, 2θ from 15° to 90°:
2theta, Rel. int.
27.16, 44.2
29.25, 17.1
32.35, 22.4
34.84, 100.0
38.78, 60.7
42.73, 50.5
51.37, 24.7
56.01, 20.6
67.68, 31.1
72.92, 20.9


Entry 2:
This entry pairs a crystal structure of LuFe10Si2 with its calculated X-ray powder pattern. Radiation: Cu Ka. Structure: a DFT-relaxed cell (GGA-PBE, Alexandria).
Neutral-atom scattering factors, no anomalous dispersion.

Structure:
abc: 6.308 6.308 6.308
angles: 135.82 98.50 97.76
Atoms (fractional coordinates):
Lu  0.000  0.000  0.000
Fe  0.000  0.000  0.500
Fe  0.000  0.500  0.000
Fe  0.205  0.500  0.705
Fe  0.353  0.000  0.353
Fe  0.361  0.361  0.000
Fe  0.500  0.000  0.000
Fe  0.500  0.500  0.500
Fe  0.639  0.639  0.000
Fe  0.647  0.000  0.647
Fe  0.795  0.500  0.295
Si  0.233  0.733  0.500
Si  0.767  0.267  0.500

Largest 10 diffraction maxima, low angle first, 2θ from 15° to 90°:
2theta, Rel. int.
21.60, 19.4
30.60, 21.2
30.70, 17.2
37.65, 17.1
37.88, 48.1
43.64, 22.0
43.81, 33.4
43.95, 100.0
44.06, 25.6
80.36, 17.3